La3Sm2Ru2: computed powder diffraction line list (Cu Kα (λ = 1.5418 Å)), based on a structure optimized by DFT (PBE).
No peak broadening, texture or thermal motion is included.

```
data_La3Sm2Ru2
_space_group_name_H-M_alt 'C 1 2/m 1'
_space_group_IT_number 12
_cell_length_a 12.4101
_cell_length_b 3.9768
_cell_length_c 9.0322
_cell_angle_alpha 90.00
_cell_angle_beta 114.53
_cell_angle_gamma 90.00
loop_
_space_group_symop_operation_xyz
'x,y,z'
'-x,-y,-z'
'-x,y,-z'
'x,-y,z'
'x+1/2,y+1/2,z'
'-x+1/2,-y+1/2,-z'
'-x+1/2,y+1/2,-z'
'x+1/2,-y+1/2,z'
loop_
_atom_site_label
_atom_site_type_symbol
_atom_site_fract_x
_atom_site_fract_y
_atom_site_fract_z
La1 La 0.0000 0.0000 0.0000
La2 La 0.1172 0.0000 0.4239
Sm1 Sm 0.1738 0.5000 0.8131
Ru1 Ru 0.1800 0.5000 0.2381
```

Top 10 peaks for 2θ from 10° to 80°, low angle first:
| h k l | 2theta | Rel. int. |
| --- | --- | --- |
| 2 0 -3 | 29.76 | 55 |
| 1 1 -2 | 29.96 | 78 |
| 3 1 -1 | 31.22 | 97 |
| 2 0 2 | 31.82 | 100 |
| 3 1 0 | 32.76 | 76 |
| 3 1 -2 | 33.45 | 92 |
| 1 1 2 | 34.53 | 48 |
| 1 1 -3 | 37.91 | 56 |
| 0 2 0 | 45.62 | 51 |
| 2 2 2 | 56.69 | 43 |



Dy2Ho2Al3: computed powder diffraction line list (Cu Kα (λ = 1.5418 Å)), based on a structure optimized by DFT (PBE).
No peak broadening, texture or thermal motion is included.

```
data_Dy2Ho2Al3
_space_group_name_H-M_alt 'C m m m'
_space_group_IT_number 65
_space_group_name_Hall '-C 2 2'
_cell_length_a 3.5389
_cell_length_b 28.1651
_cell_length_c 3.5405
_cell_angle_alpha 90.00
_cell_angle_beta 90.00
_cell_angle_gamma 90.00
loop_
_atom_site_label
_atom_site_type_symbol
_atom_site_fract_x
_atom_site_fract_y
_atom_site_fract_z
Dy1 Dy 0.0000 0.0650 0.0000
Ho1 Ho 0.0000 0.1943 0.0000
Al1 Al 0.0000 0.3690 0.5000
Al2 Al 0.0000 0.5000 0.5000
```

Top 10 peaks for 2θ from 10° to 80°, low angle first:
| h k l | 2theta | Rel. int. |
| --- | --- | --- |
| 0 0 1 | 25.15 | 43 |
| 0 8 0 | 25.33 | 70 |
| 1 7 0 | 33.73 | 44 |
| 0 8 1 | 36.00 | 100 |
| 1 7 1 | 42.54 | 26 |
| 2 0 0 | 51.65 | 20 |
| 2 0 1 | 58.34 | 31 |
| 1 15 1 | 61.77 | 21 |
| 1 7 2 | 63.10 | 15 |
| 2 8 1 | 64.56 | 19 |



PrHo4Tm4: computed powder diffraction line list (Cu Kα (λ = 1.5418 Å)), based on a structure optimized by DFT (PBE).
No peak broadening, texture or thermal motion is included.

```
data_PrHo4Tm4
_space_group_name_H-M_alt 'P -1'
_space_group_IT_number 2
_cell_length_a 5.5964
_cell_length_b 6.8992
_cell_length_c 8.3239
_cell_angle_alpha 100.35
_cell_angle_beta 109.58
_cell_angle_gamma 90.03
loop_
_space_group_symop_operation_xyz
'x,y,z'
'-x,-y,-z'
loop_
_atom_site_label
_atom_site_type_symbol
_atom_site_fract_x
_atom_site_fract_y
_atom_site_fract_z
Pr1 Pr 0.0000 0.0000 0.0000
Ho1 Ho 0.1827 0.4685 0.3648
Ho2 Ho 0.3819 0.8094 0.7643
Tm1 Tm 0.2016 0.9843 0.4029
Tm2 Tm 0.3977 0.2990 0.7967
```

Top 10 peaks for 2θ from 10° to 80°, low angle first:
| h k l | 2theta | Rel. int. |
| --- | --- | --- |
| 0 0 1 | 11.49 | 16 |
| 0 2 1 | 30.81 | 16 |
| 0 2 -2 | 31.69 | 31 |
| 2 0 -1 | 31.98 | 64 |
| -1 2 1 | 32.36 | 83 |
| 1 2 -2 | 32.93 | 47 |
| 1 0 2 | 33.21 | 100 |
| 2 -2 1 | 45.64 | 23 |
| -3 2 2 | 57.24 | 17 |
| 3 0 1 | 57.79 | 21 |



Ho3Al12Os4: computed powder diffraction line list (Cu Kα (λ = 1.5418 Å)), based on a structure optimized by DFT (PBE).
No peak broadening, texture or thermal motion is included.

```
data_Ho3Al12Os4
_space_group_name_H-M_alt 'P 63/m m c'
_space_group_IT_number 194
_space_group_name_Hall '-P 6c 2c'
_cell_length_a 8.7931
_cell_length_b 8.7931
_cell_length_c 9.5979
_cell_angle_alpha 90.00
_cell_angle_beta 90.00
_cell_angle_gamma 120.00
loop_
_atom_site_label
_atom_site_type_symbol
_atom_site_fract_x
_atom_site_fract_y
_atom_site_fract_z
Ho1 Ho 0.1940 0.3881 0.2500
Al1 Al 0.0000 0.0000 0.2500
Al2 Al 0.1235 0.5617 0.7500
Al3 Al 0.1636 0.3271 0.5756
Al4 Al 0.3333 0.6667 0.0197
Os1 Os 0.0000 0.0000 0.0000
Os2 Os 0.0000 0.5000 0.0000
```

Top 10 peaks for 2θ from 10° to 80°, low angle first:
| h k l | 2theta | Rel. int. |
| --- | --- | --- |
| 2 0 0 | 23.36 | 31 |
| 2 0 1 | 25.16 | 22 |
| 2 0 2 | 29.96 | 100 |
| 2 0 3 | 36.67 | 37 |
| 0 0 4 | 37.48 | 24 |
| 2 2 0 | 41.06 | 54 |
| 4 0 2 | 51.65 | 20 |
| 2 2 4 | 56.80 | 29 |
| 2 0 6 | 63.03 | 18 |
| 4 2 2 | 68.01 | 19 |